Entry 1:
LiVCrP4O14: simulated powder diffractogram (Cu Kα (weighted mean of Kα1 and Kα2)), based on a PBE+U-relaxed structure.
Peak positions follow from Bragg's law for the DFT cell and can differ from measured ones.

Cell and atoms:
```
data_LiVCrP4O14
_space_group_name_H-M_alt 'P 1'
_space_group_IT_number 1
_space_group_name_Hall 'P 1'
_cell_length_a 4.8870
_cell_length_b 7.0085
_cell_length_c 8.0742
_cell_angle_alpha 89.95
_cell_angle_beta 89.62
_cell_angle_gamma 72.39
loop_
_atom_site_label
_atom_site_fract_x
_atom_site_fract_y
_atom_site_fract_z
Li1 0.0000 0.0000 0.0000
V1 0.0375 0.9512 0.6279
Cr1 0.6188 0.4033 0.1376
P1 0.0639 0.5824 0.9124
P2 0.2312 0.1585 0.3154
P3 0.4342 0.1952 0.8119
P4 0.6072 0.7644 0.4125
O1 0.0030 0.1870 0.1805
O2 0.0988 0.1552 0.4892
O3 0.2213 0.0704 0.8112
O4 0.2503 0.5961 0.0606
O5 0.2545 0.4239 0.7775
O6 0.4118 0.2984 0.3112
O7 0.4124 0.7711 0.5647
O8 0.4372 0.9314 0.2810
O9 0.5775 0.1843 0.9817
O10 0.6548 0.1357 0.6721
O11 0.7012 0.5719 0.3172
O12 0.8025 0.5194 0.9560
O13 0.8742 0.8234 0.4672
O14 0.9801 0.7850 0.8198
```

Main lines, sorted by position (2θ from 5° to 70°):
hkl  2θ/deg  I_rel
0 1 -1  17.23  100
1 0 1  21.98  14
1 0 -1  22.10  11
1 1 1  22.51  19
1 1 -1  22.62  25
0 1 -2  25.78  16
1 -1 0  26.43  18
1 -1 1  28.63  12
-1 1 1  28.75  10
1 1 2  29.60  25
1 1 -2  29.77  25
1 2 1  29.93  23

=====

Entry 2:
Li2Fe3F8: simulated powder diffractogram (Cu Kα (weighted mean of Kα1 and Kα2)), based on a PBE+U-relaxed structure.
Peak positions follow from Bragg's law for the DFT cell and can differ from measured ones.

Cell and atoms:
```
data_Li2Fe3F8
_space_group_name_H-M_alt 'P 1'
_space_group_IT_number 1
_space_group_name_Hall 'P 1'
_cell_length_a 5.6439
_cell_length_b 12.3614
_cell_length_c 5.3553
_cell_angle_alpha 90.00
_cell_angle_beta 112.56
_cell_angle_gamma 90.00
loop_
_atom_site_label
_atom_site_fract_x
_atom_site_fract_y
_atom_site_fract_z
Li1 0.2015 0.1168 0.0956
Li2 0.2015 0.3832 0.5956
Li3 0.7985 0.6168 0.4044
Li4 0.7985 0.8832 0.9044
Fe1 0.0000 0.0000 0.5000
Fe2 0.0000 0.5000 0.0000
Fe3 0.3824 0.6661 0.7311
Fe4 0.3824 0.8339 0.2311
Fe5 0.6176 0.1661 0.7689
Fe6 0.6176 0.3339 0.2689
F1 0.1037 0.6758 0.3741
F2 0.1037 0.8242 0.8741
F3 0.2053 0.5200 0.7731
F4 0.2053 0.9800 0.2731
F5 0.2806 0.0872 0.7776
F6 0.2806 0.4128 0.2776
F7 0.4736 0.1903 0.3664
F8 0.4736 0.3097 0.8664
F9 0.5264 0.6903 0.1336
F10 0.5264 0.8097 0.6336
F11 0.7194 0.5872 0.7224
F12 0.7194 0.9128 0.2224
F13 0.7947 0.0200 0.7269
F14 0.7947 0.4800 0.2269
F15 0.8963 0.1758 0.1259
F16 0.8963 0.3242 0.6259
```

Main lines, sorted by position (2θ from 5° to 70°):
hkl  2θ/deg  I_rel
1 1 0  18.47  42
1 2 0  22.31  100
0 2 1  23.03  61
1 2 -1  24.23  44
0 3 1  28.19  29
1 3 -1  29.19  58
2 1 -1  32.93  29
1 0 -2  33.68  41
2 3 -1  39.00  26
0 6 0  43.95  27
2 3 1  50.54  28
3 3 -1  53.59  32